Entry 1:
Starting from a DFT-relaxed cell (PBE, the Materials Project), the powder X-ray diffraction pattern of ZnS was simulated for Cu Ka.
Peak positions follow from Bragg's law for the DFT cell and can differ from measured ones.

The 8 most intense peaks (2θ from 10° to 90°), sorted by position:
2θ = 27.45°, rel. 10.5; 2θ = 27.86°, rel. 12.4; 2θ = 28.35°, rel. 100.0; 2θ = 29.58°, rel. 14.4; 2θ = 47.16°, rel. 74.3; 2θ = 55.94°, rel. 49.8; 2θ = 76.10°, rel. 12.2; 2θ = 87.70°, rel. 19.1

Crystal structure
```
ZnS
1.0
3.854 0.000 0.000
-1.927 3.338 0.000
0.000 0.000 56.690
Zn S
18 18
direct
0.000 0.000 0.000
0.000 0.000 0.111
0.000 0.000 0.278
0.000 0.000 0.389
0.000 0.000 0.611
0.000 0.000 0.778
0.333 0.667 0.167
0.333 0.667 0.333
0.333 0.667 0.500
0.333 0.667 0.667
0.333 0.667 0.833
0.333 0.667 0.944
0.667 0.333 0.056
0.667 0.333 0.222
0.667 0.333 0.444
0.667 0.333 0.556
0.667 0.333 0.722
0.667 0.333 0.889
0.000 0.000 0.042
0.000 0.000 0.153
0.000 0.000 0.319
0.000 0.000 0.431
0.000 0.000 0.653
0.000 0.000 0.819
0.333 0.667 0.208
0.333 0.667 0.375
0.333 0.667 0.542
0.333 0.667 0.708
0.333 0.667 0.875
0.333 0.667 0.986
0.667 0.333 0.097
0.667 0.333 0.264
0.667 0.333 0.486
0.667 0.333 0.597
0.667 0.333 0.764
0.667 0.333 0.931
```

Entry 2:
Starting from a DFT-relaxed cell (PBE, the Materials Project), the powder X-ray diffraction pattern of ZnS was simulated for Cu Ka.
Peak positions follow from Bragg's law for the DFT cell and can differ from measured ones.

The 8 most intense peaks (2θ from 10° to 90°), sorted by position:
2θ = 27.65°, rel. 45.1; 2θ = 28.32°, rel. 57.9; 2θ = 28.79°, rel. 100.0; 2θ = 32.17°, rel. 21.7; 2θ = 47.18°, rel. 70.4; 2θ = 48.17°, rel. 46.2; 2θ = 54.75°, rel. 20.5; 2θ = 55.94°, rel. 47.2

Crystal structure
```
ZnS
1.0
3.853 0.000 0.000
-1.927 3.337 0.000
0.000 0.000 25.208
Zn S
8 8
direct
0.000 0.000 0.000
0.000 0.000 0.250
0.000 0.000 0.625
0.333 0.667 0.125
0.333 0.667 0.375
0.333 0.667 0.750
0.667 0.333 0.500
0.667 0.333 0.875
0.000 0.000 0.094
0.000 0.000 0.344
0.000 0.000 0.719
0.333 0.667 0.219
0.333 0.667 0.469
0.333 0.667 0.844
0.667 0.333 0.594
0.667 0.333 0.969
```

Entry 3:
Starting from a DFT-relaxed cell (PBE, the Materials Project), the powder X-ray diffraction pattern of ZnS was simulated for Cu Ka.
Peak positions follow from Bragg's law for the DFT cell and can differ from measured ones.

The 8 most intense peaks (2θ from 10° to 90°), sorted by position:
2θ = 27.65°, rel. 35.8; 2θ = 28.05°, rel. 42.5; 2θ = 28.34°, rel. 82.2; 2θ = 28.53°, rel. 93.8; 2θ = 29.66°, rel. 19.3; 2θ = 47.17°, rel. 100.0; 2θ = 47.56°, rel. 40.1; 2θ = 55.94°, rel. 67.0

Crystal structure
```
ZnS
1.0
3.854 0.000 0.000
-1.927 3.337 0.000
0.000 0.000 62.987
Zn S
20 20
direct
0.000 0.000 0.000
0.000 0.000 0.100
0.000 0.000 0.250
0.000 0.000 0.400
0.000 0.000 0.550
0.000 0.000 0.700
0.000 0.000 0.850
0.333 0.667 0.150
0.333 0.667 0.300
0.333 0.667 0.500
0.333 0.667 0.650
0.333 0.667 0.750
0.333 0.667 0.950
0.667 0.333 0.050
0.667 0.333 0.200
0.667 0.333 0.350
0.667 0.333 0.450
0.667 0.333 0.600
0.667 0.333 0.800
0.667 0.333 0.900
0.000 0.000 0.037
0.000 0.000 0.137
0.000 0.000 0.287
0.000 0.000 0.438
0.000 0.000 0.587
0.000 0.000 0.738
0.000 0.000 0.888
0.333 0.667 0.187
0.333 0.667 0.337
0.333 0.667 0.537
0.333 0.667 0.687
0.333 0.667 0.787
0.333 0.667 0.987
0.667 0.333 0.088
0.667 0.333 0.237
0.667 0.333 0.387
0.667 0.333 0.487
0.667 0.333 0.637
0.667 0.333 0.837
0.667 0.333 0.937
```

Entry 4:
Starting from a DFT-relaxed cell (PBE, the Materials Project), the powder X-ray diffraction pattern of ZnS was simulated for Cu Ka.
Peak positions follow from Bragg's law for the DFT cell and can differ from measured ones.

The 8 most intense peaks (2θ from 10° to 90°), sorted by position:
2θ = 27.25°, rel. 36.7; 2θ = 28.18°, rel. 100.0; 2θ = 28.33°, rel. 82.1; 2θ = 28.79°, rel. 43.5; 2θ = 29.51°, rel. 27.1; 2θ = 46.62°, rel. 38.4; 2θ = 47.19°, rel. 99.9; 2θ = 55.94°, rel. 80.3

Crystal structure
```
ZnS
1.0
3.852 0.000 0.000
-1.926 3.336 0.000
0.000 0.000 50.399
Zn S
16 16
direct
0.000 0.000 0.000
0.000 0.000 0.125
0.000 0.000 0.312
0.000 0.000 0.438
0.000 0.000 0.687
0.000 0.000 0.813
0.333 0.667 0.188
0.333 0.667 0.375
0.333 0.667 0.562
0.333 0.667 0.750
0.333 0.667 0.938
0.667 0.333 0.062
0.667 0.333 0.250
0.667 0.333 0.500
0.667 0.333 0.625
0.667 0.333 0.875
0.000 0.000 0.047
0.000 0.000 0.172
0.000 0.000 0.359
0.000 0.000 0.484
0.000 0.000 0.734
0.000 0.000 0.859
0.333 0.667 0.234
0.333 0.667 0.422
0.333 0.667 0.609
0.333 0.667 0.797
0.333 0.667 0.984
0.667 0.333 0.109
0.667 0.333 0.297
0.667 0.333 0.547
0.667 0.333 0.672
0.667 0.333 0.922
```

Entry 5:
Starting from a DFT-relaxed cell (PBE, the Materials Project), the powder X-ray diffraction pattern of ZnS was simulated for Cu Ka.
Peak positions follow from Bragg's law for the DFT cell and can differ from measured ones.

The 8 most intense peaks (2θ from 10° to 90°), sorted by position:
2θ = 28.36°, rel. 100.0; 2θ = 32.87°, rel. 11.9; 2θ = 47.17°, rel. 61.0; 2θ = 55.95°, rel. 40.9; 2θ = 68.91°, rel. 9.1; 2θ = 76.13°, rel. 15.6; 2θ = 78.48°, rel. 3.6; 2θ = 87.73°, rel. 19.1

Crystal structure
```
ZnS
1.0
0.000 2.725 2.725
2.725 0.000 2.725
2.725 2.725 0.000
Zn S
1 1
direct
0.000 0.000 0.000
0.250 0.250 0.250
```